[1]
Diffraction record for CrFeIr. The X-ray diffraction stick pattern is simulated, not measured: it uses the PBE geometry in Alexandria and Cu Kα.

Largest 10 diffraction maxima, sorted by position, 2θ from 10° to 90°:
index  2theta  I_rel
0 0 2  22.55  47
0 1 1  26.96  63
1 0 1  35.71  31
1 1 0  42.14  100
0 1 3  42.40  98
1 1 2  48.31  27
1 0 3  48.77  65
0 2 0  50.07  30
1 2 3  72.49  38
2 1 3  86.40  24

a = 2.6526 Å, b = 3.6434 Å, c = 7.8853 Å
α = 90.00°, β = 90.00°, γ = 90.00°
Space group Imm2 (No. 44)
Unique sites:
Cr: 0.0000 0.0000 0.0000
Fe: 0.0000 0.0000 0.6646
Ir: 0.0000 0.0000 0.3349

=====

[2]
Diffraction record for Sm5Ho2Cd. The X-ray diffraction stick pattern is simulated, not measured: it uses the PBE geometry in Alexandria and Cu Kα.

Largest 10 diffraction maxima, sorted by position, 2θ from 10° to 90°:
index  2theta  I_rel
2 2 0  30.87  58
2 0 2  32.27  100
3 0 1  34.95  6
4 0 0  44.23  20
0 0 4  48.28  7
4 2 2  55.80  36
2 2 4  58.41  14
4 0 4  67.53  8
6 2 0  73.05  7
6 0 2  73.82  6

a = 8.1918 Å, b = 8.1918 Å, c = 7.5407 Å
α = 90.00°, β = 90.00°, γ = 90.00°
Space group I4mm (No. 107)
Unique sites:
Sm: 0.0000 0.0000 0.0000
Sm: 0.2273 0.2273 0.3110
Ho: 0.0000 0.5000 0.0677
Cd: 0.0000 0.0000 0.5784